Entry 1:
Theoretical X-ray powder pattern of In3Hg7 for Cu Ka, from the PBE geometry in Alexandria.
Kinematic intensities with the Lorentz-polarization factor, no thermal factor.

Main lines, sorted by position (2θ from 15° to 90°):
d = 2.847 Å, intensity 61, hkl 2 0 2; d = 2.714 Å, intensity 55, hkl 0 2 0; d = 2.636 Å, intensity 100, hkl 3 1 -2; d = 2.558 Å, intensity 92, hkl 5 1 0; d = 1.965 Å, intensity 43, hkl 2 2 2; d = 1.619 Å, intensity 23, hkl 1 1 -4; d = 1.565 Å, intensity 21, hkl 7 1 2; d = 1.551 Å, intensity 20, hkl 3 3 -2

Cell and atoms:
a = 14.7412 Å, b = 5.4279 Å, c = 6.7980 Å
α = 90.00°, β = 100.37°, γ = 90.00°
Space group C2/m (No. 12)
Unique sites:
1 In 0.0000 0.0000 0.0000 [2 per cell]
2 In 0.2000 0.0000 0.7963 [4 per cell]
3 Hg 0.0000 0.0000 0.5000 [2 per cell]
4 Hg 0.0987 0.5000 0.8997 [4 per cell]
5 Hg 0.1002 0.5000 0.4024 [4 per cell]
6 Hg 0.1990 0.0000 0.2987 [4 per cell]

---

Entry 2:
Theoretical X-ray powder pattern of Ti6HPb for Cu Ka, from the PBE geometry in Alexandria.
Kinematic intensities with the Lorentz-polarization factor, no thermal factor.

Main lines, sorted by position (2θ from 15° to 90°):
d = 4.869 Å, intensity 51, hkl 1 0 1; d = 4.054 Å, intensity 33, hkl 1 1 0; d = 3.045 Å, intensity 29, hkl 0 1 2; d = 2.470 Å, intensity 100, hkl 2 1 1; d = 2.253 Å, intensity 21, hkl 0 0 3; d = 2.087 Å, intensity 59, hkl 1 2 2; d = 2.027 Å, intensity 22, hkl 2 2 0; d = 1.425 Å, intensity 16, hkl 2 1 4

Cell and atoms:
a = 8.1085 Å, b = 8.1085 Å, c = 6.7584 Å
α = 90.00°, β = 90.00°, γ = 120.00°
Space group R-3m (No. 166, hexagonal axes)
Unique sites:
1 Ti 0.0766 0.5383 0.3150 [18 per cell]
2 H 0.0000 0.0000 0.5000 [3 per cell]
3 Pb 0.0000 0.0000 0.0000 [3 per cell]